Entry 1:
The following is a calculated powder XRD pattern of PrMg4Rh. It was derived from the GGA-PBE geometry in Alexandria, using a wavelength of 1.5418 Å.

Atomic structure:
abc: 8.671 4.272 7.466
angles: 90.00 90.00 90.00
Space group Pmma (No. 51)
Unique sites:
1 Pr 0.250 0.000 0.095
2 Mg 0.000 0.000 0.500
3 Mg 0.063 0.500 0.801
4 Mg 0.250 0.500 0.461
5 Rh 0.250 0.000 0.712

The 6 most intense peaks (2θ from 10° to 80°), by intensity:
(hkl)	2θ (°)	d/Å	I/Imax
1 1 2	33.5	2.674	1000
2 0 0	20.5	4.336	924
2 1 0	29.3	3.043	915
0 1 0	20.8	4.272	763
2 1 1	31.8	2.818	658
1 0 2	26.0	3.429	567

Entry 2:
The following is a calculated powder XRD pattern of Er3CdPd4. It was derived from the GGA-PBE geometry in Alexandria, using a wavelength of 1.5418 Å.

Atomic structure:
abc: 9.713 6.808 4.856
angles: 90.00 90.00 90.00
Space group Pmma (No. 51)
Unique sites:
1 Er 0.000 0.000 0.000
2 Er 0.250 0.000 0.499
3 Er 0.250 0.500 0.498
4 Cd 0.000 0.500 0.000
5 Pd 0.000 0.247 0.500
6 Pd 0.250 0.247 0.998

The 6 most intense peaks (2θ from 10° to 80°), by intensity:
(hkl)	2θ (°)	d/Å	I/Imax
2 2 1	37.2	2.417	1000
4 0 0	37.0	2.428	507
6 2 1	66.8	1.400	353
4 0 2	53.4	1.717	175
4 4 0	67.2	1.394	173
4 4 2	79.3	1.209	109

Entry 3:
The following is a calculated powder XRD pattern of PbCl6F2. It was derived from the GGA-PBE geometry in Alexandria, using a wavelength of 1.5418 Å.

Atomic structure:
abc: 3.691 6.184 12.162
angles: 101.40 90.27 101.34
Space group P-1 (No. 2)
Unique sites:
1 Pb 0.000 0.000 0.000
2 Cl 0.078 0.240 0.184
3 Cl 0.116 0.877 0.328
4 Cl 0.165 0.633 0.411
5 F 0.440 0.816 0.046

The 6 most intense peaks (2θ from 10° to 80°), by intensity:
(hkl)	2θ (°)	d/Å	I/Imax
0 1 0	14.9	5.944	1000
0 1 -2	18.8	4.709	621
0 1 -1	15.3	5.804	559
0 1 1	18.0	4.930	530
0 1 3	29.5	3.029	431
1 0 0	24.6	3.615	407